# 1
Simulated X-ray diffraction stick pattern
Compound: Sm5Te5Se2
Radiation: λ = 1.5418 Å (Cu Kα)
Structure: the PBE geometry in Alexandria

Atomic structure:
```
Sm5Te5Se2
1.0
7.207 -2.143 0.000
7.207 2.143 0.000
-3.526 0.000 12.467
Sm Te Se
5 5 2
direct
0.000 0.000 0.000
0.109 0.109 0.409
0.315 0.315 0.195
0.685 0.685 0.805
0.891 0.891 0.591
0.253 0.253 0.648
0.336 0.336 0.948
0.500 0.500 0.500
0.664 0.664 0.052
0.747 0.747 0.352
0.040 0.040 0.791
0.960 0.960 0.209
```

Peak list (6 most intense, 5° ≤ 2θ ≤ 70°, by angle)
- d 4.111, 21.62°, I 38
- d 3.194, 27.93°, I 100
- d 3.143, 28.40°, I 26
- d 3.042, 29.36°, I 46
- d 2.582, 34.74°, I 36
- d 2.143, 42.17°, I 34

# 2
Simulated X-ray diffraction stick pattern
Compound: SmYTeSe2
Radiation: λ = 1.5418 Å (Cu Kα)
Structure: the PBE geometry in Alexandria

Atomic structure:
```
SmYTeSe2
1.0
4.658 0.000 0.000
0.000 4.658 0.000
0.000 0.000 14.212
Sm Y Te Se
2 2 2 4
direct
0.000 0.000 0.000
0.500 0.500 0.500
0.000 0.000 0.722
0.500 0.500 0.222
0.000 0.000 0.365
0.500 0.500 0.865
0.000 0.500 0.115
0.000 0.500 0.615
0.500 0.000 0.115
0.500 0.000 0.615
```

Peak list (6 most intense, 5° ≤ 2θ ≤ 70°, by angle)
- d 3.321, 26.84°, I 100
- d 2.988, 29.90°, I 43
- d 2.416, 37.22°, I 26
- d 2.329, 38.66°, I 47
- d 1.923, 47.27°, I 31
- d 1.907, 47.69°, I 41

# 3
Simulated X-ray diffraction stick pattern
Compound: Sm2Th2Se7
Radiation: λ = 1.5418 Å (Cu Kα)
Structure: the PBE geometry in Alexandria

Atomic structure:
```
Sm2Th2Se7
1.0
-2.114 7.416 4.591
2.114 -7.416 4.591
2.114 7.416 -4.591
Sm Th Se
2 2 7
direct
0.000 0.000 0.000
0.541 0.041 0.500
0.008 0.246 0.762
0.484 0.246 0.238
0.187 0.546 0.641
0.259 0.943 0.315
0.317 0.317 0.000
0.612 0.724 0.888
0.628 0.943 0.685
0.836 0.724 0.112
0.905 0.546 0.359
```

Peak list (6 most intense, 5° ≤ 2θ ≤ 70°, by angle)
- d 3.904, 22.78°, I 52
- d 3.411, 26.13°, I 33
- d 2.668, 33.59°, I 100
- d 2.351, 38.28°, I 54
- d 2.177, 41.49°, I 29
- d 2.114, 42.77°, I 30

# 4
Simulated X-ray diffraction stick pattern
Compound: SmTh2Se3
Radiation: λ = 1.5418 Å (Cu Kα)
Structure: the PBE geometry in Alexandria

Atomic structure:
```
SmTh2Se3
1.0
5.932 0.000 0.000
0.000 12.766 0.000
0.000 0.000 8.266
Sm Th Se
4 8 12
direct
0.250 0.084 0.128
0.250 0.416 0.628
0.750 0.584 0.372
0.750 0.916 0.872
0.250 0.083 0.622
0.250 0.417 0.122
0.252 0.749 0.124
0.252 0.751 0.624
0.748 0.249 0.376
0.748 0.251 0.876
0.750 0.583 0.878
0.750 0.917 0.378
0.248 0.248 0.875
0.248 0.252 0.375
0.250 0.581 0.378
0.250 0.583 0.870
0.250 0.917 0.370
0.250 0.919 0.878
0.750 0.081 0.122
0.750 0.083 0.630
0.750 0.417 0.130
0.750 0.419 0.622
0.752 0.748 0.625
0.752 0.752 0.125
```

Peak list (6 most intense, 5° ≤ 2θ ≤ 70°, by angle)
- d 3.458, 25.77°, I 18
- d 3.391, 26.28°, I 17
- d 2.965, 30.14°, I 100
- d 2.128, 42.49°, I 13
- d 2.097, 43.14°, I 51
- d 1.729, 52.96°, I 14

# 5
Simulated X-ray diffraction stick pattern
Compound: Sm3TiTl3Se8
Radiation: λ = 1.5418 Å (Cu Kα)
Structure: the PBE geometry in Alexandria

Atomic structure:
```
Sm3TiTl3Se8
1.0
4.135 2.387 7.836
-4.135 2.387 7.836
0.000 -4.774 7.836
Sm Ti Tl Se
3 1 3 8
direct
0.000 0.500 0.500
0.500 0.000 0.500
0.500 0.500 0.000
0.000 0.000 0.000
0.000 0.000 0.500
0.000 0.500 0.000
0.500 0.000 0.000
0.216 0.216 0.764
0.216 0.764 0.216
0.236 0.784 0.784
0.263 0.263 0.263
0.737 0.737 0.737
0.764 0.216 0.216
0.784 0.236 0.784
0.784 0.784 0.236
```

Peak list (6 most intense, 5° ≤ 2θ ≤ 70°, by angle)
- d 6.116, 14.48°, I 15
- d 3.058, 29.20°, I 100
- d 2.272, 39.68°, I 36
- d 2.067, 43.79°, I 34
- d 1.713, 53.50°, I 17
- d 1.422, 65.66°, I 12

# 6
Simulated X-ray diffraction stick pattern
Compound: Sm4TlSe2
Radiation: λ = 1.5418 Å (Cu Kα)
Structure: the PBE geometry in Alexandria

Atomic structure:
```
Sm4TlSe2
1.0
2.078 -6.882 0.000
2.078 6.882 0.000
0.000 0.000 14.288
Sm Tl Se
8 2 4
direct
0.000 0.000 0.000
0.000 0.000 0.500
0.270 0.730 0.620
0.270 0.730 0.880
0.433 0.567 0.250
0.567 0.433 0.750
0.730 0.270 0.120
0.730 0.270 0.380
0.106 0.894 0.250
0.894 0.106 0.750
0.364 0.636 0.060
0.364 0.636 0.440
0.636 0.364 0.560
0.636 0.364 0.940
```

Peak list (6 most intense, 5° ≤ 2θ ≤ 70°, by angle)
- d 3.170, 28.15°, I 65
- d 3.054, 29.25°, I 32
- d 3.011, 29.67°, I 100
- d 2.829, 31.63°, I 41
- d 2.321, 38.80°, I 37
- d 2.067, 43.79°, I 35

# 7
Simulated X-ray diffraction stick pattern
Compound: Sm3TmTl3Se8
Radiation: λ = 1.5418 Å (Cu Kα)
Structure: the PBE geometry in Alexandria

Atomic structure:
```
Sm3TmTl3Se8
1.0
4.227 2.440 7.628
-4.227 2.440 7.628
0.000 -4.881 7.628
Sm Tm Tl Se
3 1 3 8
direct
0.000 0.500 0.500
0.500 0.000 0.500
0.500 0.500 0.000
0.000 0.000 0.000
0.000 0.000 0.500
0.000 0.500 0.000
0.500 0.000 0.000
0.232 0.232 0.744
0.232 0.744 0.232
0.256 0.768 0.768
0.262 0.262 0.262
0.738 0.738 0.738
0.744 0.232 0.232
0.768 0.256 0.768
0.768 0.768 0.256
```

Peak list (6 most intense, 5° ≤ 2θ ≤ 70°, by angle)
- d 3.487, 25.55°, I 14
- d 3.084, 28.96°, I 100
- d 2.254, 40.00°, I 37
- d 2.113, 42.79°, I 37
- d 1.743, 52.49°, I 19
- d 1.345, 69.95°, I 16

# 8
Simulated X-ray diffraction stick pattern
Compound: SmTlZnSe3
Radiation: λ = 1.5418 Å (Cu Kα)
Structure: the PBE geometry in Alexandria

Atomic structure:
```
SmTlZnSe3
1.0
9.174 0.000 0.000
0.000 4.186 0.000
-2.754 0.000 9.383
Sm Tl Zn Se
2 2 2 6
direct
0.172 0.250 0.144
0.828 0.750 0.856
0.294 0.750 0.781
0.706 0.250 0.219
0.417 0.750 0.394
0.583 0.250 0.606
0.043 0.250 0.837
0.301 0.250 0.470
0.394 0.750 0.136
0.606 0.250 0.864
0.699 0.750 0.530
0.957 0.750 0.163
```

Peak list (6 most intense, 5° ≤ 2θ ≤ 70°, by angle)
- d 3.130, 28.52°, I 56
- d 3.065, 29.13°, I 100
- d 3.033, 29.45°, I 49
- d 2.348, 38.34°, I 24
- d 2.093, 43.22°, I 29
- d 2.059, 43.97°, I 31

# 9
Simulated X-ray diffraction stick pattern
Compound: SmTmSe3
Radiation: λ = 1.5418 Å (Cu Kα)
Structure: the PBE geometry in Alexandria

Atomic structure:
```
SmTmSe3
1.0
7.681 0.000 0.000
0.000 4.088 0.000
0.000 0.000 15.979
Sm Tm Se
4 4 12
direct
0.140 0.250 0.201
0.360 0.750 0.701
0.640 0.250 0.299
0.860 0.750 0.799
0.229 0.750 0.458
0.271 0.250 0.958
0.729 0.750 0.042
0.771 0.250 0.542
0.009 0.250 0.395
0.121 0.750 0.063
0.152 0.250 0.785
0.348 0.750 0.285
0.379 0.250 0.563
0.491 0.750 0.895
0.509 0.250 0.105
0.621 0.750 0.437
0.652 0.250 0.715
0.848 0.750 0.215
0.879 0.250 0.937
0.991 0.750 0.605
```

Peak list (6 most intense, 5° ≤ 2θ ≤ 70°, by angle)
- d 3.520, 25.30°, I 65
- d 2.642, 33.94°, I 100
- d 2.518, 35.66°, I 47
- d 2.478, 36.26°, I 35
- d 2.392, 37.60°, I 55
- d 2.044, 44.32°, I 47

# 10
Simulated X-ray diffraction stick pattern
Compound: SmTm4Se5
Radiation: λ = 1.5418 Å (Cu Kα)
Structure: the PBE geometry in Alexandria

Atomic structure:
```
SmTm4Se5
1.0
-2.020 2.020 14.388
2.020 -2.020 14.388
2.020 2.020 -14.388
Sm Tm Se
1 4 5
direct
0.000 0.000 0.000
0.205 0.205 0.000
0.403 0.403 0.000
0.597 0.597 0.000
0.795 0.795 0.000
0.104 0.104 0.000
0.303 0.303 0.000
0.500 0.500 0.000
0.697 0.697 0.000
0.896 0.896 0.000
```

Peak list (6 most intense, 5° ≤ 2θ ≤ 70°, by angle)
- d 3.307, 26.96°, I 34
- d 2.878, 31.08°, I 48
- d 2.857, 31.31°, I 100
- d 2.028, 44.70°, I 71
- d 2.020, 44.86°, I 37
- d 1.653, 55.58°, I 37

# 11
Simulated X-ray diffraction stick pattern
Compound: Sm2Tm2Se5
Radiation: λ = 1.5418 Å (Cu Kα)
Structure: the PBE geometry in Alexandria

Atomic structure:
```
Sm2Tm2Se5
1.0
7.369 -3.848 0.000
7.369 3.848 0.000
0.000 0.000 7.649
Sm Tm Se
4 4 10
direct
0.198 0.198 0.000
0.302 0.302 0.500
0.698 0.698 0.500
0.802 0.802 0.000
0.151 0.849 0.656
0.349 0.651 0.156
0.651 0.349 0.844
0.849 0.151 0.344
0.000 0.000 0.000
0.024 0.706 0.345
0.206 0.524 0.845
0.294 0.976 0.345
0.476 0.794 0.845
0.500 0.500 0.500
0.524 0.206 0.155
0.706 0.024 0.655
0.794 0.476 0.155
0.976 0.294 0.655
```

Peak list (6 most intense, 5° ≤ 2θ ≤ 70°, by angle)
- d 3.115, 28.65°, I 54
- d 2.810, 31.85°, I 100
- d 2.713, 33.02°, I 47
- d 2.514, 35.72°, I 85
- d 2.400, 37.47°, I 68
- d 2.388, 37.67°, I 69

# 12
Simulated X-ray diffraction stick pattern
Compound: Sm2YTm3Se6
Radiation: λ = 1.5418 Å (Cu Kα)
Structure: the PBE geometry in Alexandria

Atomic structure:
```
Sm2YTm3Se6
1.0
8.935 -2.024 0.000
8.935 2.024 0.000
-2.076 0.000 7.974
Sm Y Tm Se
2 1 3 6
direct
0.168 0.168 0.336
0.832 0.832 0.664
0.500 0.500 0.000
0.169 0.169 0.833
0.500 0.500 0.500
0.831 0.831 0.167
0.004 0.004 0.747
0.333 0.333 0.926
0.337 0.337 0.408
0.663 0.663 0.592
0.667 0.667 0.074
0.996 0.996 0.253
```

Peak list (6 most intense, 5° ≤ 2θ ≤ 70°, by angle)
- d 3.314, 26.90°, I 13
- d 2.886, 30.99°, I 100
- d 2.057, 44.02°, I 37
- d 2.024, 44.77°, I 36
- d 1.657, 55.45°, I 19
- d 1.444, 64.55°, I 8

Copy entry 6 word for word.
Simulated X-ray diffraction stick pattern
Compound: Sm4TlSe2
Radiation: λ = 1.5418 Å (Cu Kα)
Structure: the PBE geometry in Alexandria

Atomic structure:
```
Sm4TlSe2
1.0
2.078 -6.882 0.000
2.078 6.882 0.000
0.000 0.000 14.288
Sm Tl Se
8 2 4
direct
0.000 0.000 0.000
0.000 0.000 0.500
0.270 0.730 0.620
0.270 0.730 0.880
0.433 0.567 0.250
0.567 0.433 0.750
0.730 0.270 0.120
0.730 0.270 0.380
0.106 0.894 0.250
0.894 0.106 0.750
0.364 0.636 0.060
0.364 0.636 0.440
0.636 0.364 0.560
0.636 0.364 0.940
```

Peak list (6 most intense, 5° ≤ 2θ ≤ 70°, by angle)
- d 3.170, 28.15°, I 65
- d 3.054, 29.25°, I 32
- d 3.011, 29.67°, I 100
- d 2.829, 31.63°, I 41
- d 2.321, 38.80°, I 37
- d 2.067, 43.79°, I 35